1.
Simulated powder diffraction line list
Compound: K5Y2Si4O13F
Radiation: copper Kα
Structure: the PBE geometry in Alexandria
Lines closer than 0.1° are merged.

Structure:
Unit cell a=7.2422 b=5.8369 c=18.2922 alpha=90.00 beta=92.10 gamma=90.00
Space group P2_1/m (No. 11)
Inequivalent atoms, fractional coordinates:
K (0.0220, 0.2500, 0.2485) x2
K (0.2382, 0.7500, 0.9899) x2
K (0.2944, 0.2500, 0.6850) x2
K (0.2997, 0.2500, 0.4944) x2
K (0.3668, 0.7500, 0.1928) x2
Y (0.0981, 0.2500, 0.8711) x2
Y (0.1673, 0.7500, 0.3901) x2
Si (0.1652, 0.7500, 0.5831) x2
Si (0.2104, 0.2500, 0.0763) x2
Si (0.4182, 0.7500, 0.8321) x2
Si (0.4589, 0.2500, 0.3267) x2
O (0.0464, 0.5160, 0.5936) x4
O (0.1229, 0.0176, 0.1114) x4
O (0.1856, 0.2500, 0.9868) x2
O (0.2766, 0.7500, 0.5066) x2
O (0.2956, 0.5171, 0.8297) x4
O (0.3151, 0.7500, 0.6563) x2
O (0.3698, 0.0150, 0.3558) x4
O (0.4334, 0.2500, 0.2356) x2
O (0.4421, 0.2500, 0.0933) x2
F (0.0378, 0.7500, 0.2568) x2

Main lines, low angle first (10 to 90 degrees two-theta):
| 2θ/deg | I_rel | h k l |
| --- | --- | --- |
| 20.0 | 48 | 1 1 -1 |
| 29.6 | 55 | 2 1 1 |
| 30.6 | 64 | 0 2 0 |
| 31.0 | 100 | 1 1 -5 |
| 32.3 | 31 | 1 0 6 |
| 40.7 | 55 | 2 2 -2 |

=====

2.
Simulated powder diffraction line list
Compound: K9Y3Si12O32F2
Radiation: copper Kα
Structure: the PBE geometry in Alexandria
Lines closer than 0.1° are merged.

Structure:
Unit cell a=6.9272 b=11.5287 c=11.5308 alpha=87.92 beta=89.83 gamma=80.54
Space group P-1 (No. 2)
Inequivalent atoms, fractional coordinates:
K (0.0000, 0.0000, 0.0000) x1
K (0.2286, 0.3844, 0.9826) x2
K (0.3305, 0.1917, 0.2233) x2
K (0.3398, 0.1521, 0.7866) x2
K (0.4792, 0.6702, 0.4910) x2
Y (0.0118, 0.5092, 0.6632) x2
Y (0.5000, 0.0000, 0.5000) x1
Si (0.0589, 0.2314, 0.5100) x2
Si (0.1558, 0.9079, 0.3034) x2
Si (0.1616, 0.8672, 0.6897) x2
Si (0.1910, 0.6947, 0.1586) x2
Si (0.2122, 0.6680, 0.8782) x2
Si (0.4864, 0.4878, 0.2573) x2
O (0.0054, 0.7969, 0.6251) x2
O (0.0056, 0.6474, 0.2150) x2
O (0.0318, 0.3750, 0.5125) x2
O (0.0394, 0.6045, 0.8328) x2
O (0.0445, 0.9972, 0.7282) x2
O (0.1105, 0.8133, 0.4053) x2
O (0.1946, 0.6854, 0.0177) x2
O (0.1954, 0.8354, 0.1813) x2
O (0.2175, 0.7993, 0.8173) x2
O (0.2755, 0.1635, 0.5409) x2
O (0.3107, 0.4297, 0.3147) x2
O (0.3364, 0.5066, 0.6534) x2
O (0.3408, 0.9671, 0.3346) x2
O (0.3548, 0.8775, 0.6173) x2
O (0.4066, 0.6254, 0.2069) x2
O (0.4325, 0.5875, 0.8603) x2
F (0.2567, 0.1570, 0.0050) x2

Main lines, low angle first (10 to 90 degrees two-theta):
| 2θ/deg | I_rel | h k l |
| --- | --- | --- |
| 27.2 | 100 | 2 0 -1 |
| 28.2 | 80 | 2 2 0 |
| 28.5 | 65 | 0 2 -3 |
| 29.4 | 61 | 1 2 3 |
| 32.3 | 56 | -2 1 2 |
| 32.7 | 74 | 2 -1 2 |

=====

3.
Simulated powder diffraction line list
Compound: K2Ta2O3F6
Radiation: copper Kα
Structure: the PBE geometry in Alexandria
Lines closer than 0.1° are merged.

Structure:
Unit cell a=10.4158 b=5.6607 c=14.7639 alpha=90.00 beta=90.00 gamma=90.00
Space group Pnma (No. 62)
Inequivalent atoms, fractional coordinates:
K (0.0574, 0.2500, 0.1016) x4
K (0.2438, 0.7500, 0.2908) x4
Ta (0.0643, 0.7500, 0.6476) x4
Ta (0.2171, 0.2500, 0.5080) x4
O (0.1053, 0.2500, 0.4041) x4
O (0.1309, 0.5009, 0.5711) x8
F (0.0132, 0.5131, 0.7398) x8
F (0.1487, 0.7500, 0.1053) x4
F (0.1665, 0.5148, 0.9484) x8
F (0.2323, 0.7500, 0.7141) x4

Main lines, low angle first (10 to 90 degrees two-theta):
| 2θ/deg | I_rel | h k l |
| --- | --- | --- |
| 10.4 | 59 | 1 0 1 |
| 18.8 | 45 | 1 1 1 |
| 20.9 | 38 | 2 0 2 |
| 24.0 | 42 | 2 1 1 |
| 25.5 | 100 | 1 1 3 |
| 30.8 | 47 | 3 1 1 |

=====

Please write out number 2 again, unchanged.
Simulated powder diffraction line list
Compound: K9Y3Si12O32F2
Radiation: copper Kα
Structure: the PBE geometry in Alexandria
Lines closer than 0.1° are merged.

Structure:
Unit cell a=6.9272 b=11.5287 c=11.5308 alpha=87.92 beta=89.83 gamma=80.54
Space group P-1 (No. 2)
Inequivalent atoms, fractional coordinates:
K (0.0000, 0.0000, 0.0000) x1
K (0.2286, 0.3844, 0.9826) x2
K (0.3305, 0.1917, 0.2233) x2
K (0.3398, 0.1521, 0.7866) x2
K (0.4792, 0.6702, 0.4910) x2
Y (0.0118, 0.5092, 0.6632) x2
Y (0.5000, 0.0000, 0.5000) x1
Si (0.0589, 0.2314, 0.5100) x2
Si (0.1558, 0.9079, 0.3034) x2
Si (0.1616, 0.8672, 0.6897) x2
Si (0.1910, 0.6947, 0.1586) x2
Si (0.2122, 0.6680, 0.8782) x2
Si (0.4864, 0.4878, 0.2573) x2
O (0.0054, 0.7969, 0.6251) x2
O (0.0056, 0.6474, 0.2150) x2
O (0.0318, 0.3750, 0.5125) x2
O (0.0394, 0.6045, 0.8328) x2
O (0.0445, 0.9972, 0.7282) x2
O (0.1105, 0.8133, 0.4053) x2
O (0.1946, 0.6854, 0.0177) x2
O (0.1954, 0.8354, 0.1813) x2
O (0.2175, 0.7993, 0.8173) x2
O (0.2755, 0.1635, 0.5409) x2
O (0.3107, 0.4297, 0.3147) x2
O (0.3364, 0.5066, 0.6534) x2
O (0.3408, 0.9671, 0.3346) x2
O (0.3548, 0.8775, 0.6173) x2
O (0.4066, 0.6254, 0.2069) x2
O (0.4325, 0.5875, 0.8603) x2
F (0.2567, 0.1570, 0.0050) x2

Main lines, low angle first (10 to 90 degrees two-theta):
| 2θ/deg | I_rel | h k l |
| --- | --- | --- |
| 27.2 | 100 | 2 0 -1 |
| 28.2 | 80 | 2 2 0 |
| 28.5 | 65 | 0 2 -3 |
| 29.4 | 61 | 1 2 3 |
| 32.3 | 56 | -2 1 2 |
| 32.7 | 74 | 2 -1 2 |

=====

> Number 1 is which compound?

K5Y2Si4O13F